Starting from a cell relaxed with PBE, the XRD peak list of Nd5Sn3 was computed for λ = 1.5418 Å (Cu Kα).

Structural model:
a = 9.3090 Å, b = 9.3090 Å, c = 6.8589 Å
α = 90.00°, β = 90.00°, γ = 120.00°
Space group P6_3/mcm (No. 193)
Symmetry-distinct sites (fractional):
1 Nd 0.0000 0.2408 0.2500 (multiplicity 6)
2 Nd 0.3333 0.6667 0.0000 (multiplicity 4)
3 Sn 0.0000 0.3952 0.7500 (multiplicity 6)

Top 10 peaks for 10° ≤ 2θ ≤ 90°, in order of rising 2θ:
| d [Å] | I/Imax |
| --- | --- |
| 3.429 | 18 |
| 3.156 | 18 |
| 3.047 | 31 |
| 2.785 | 100 |
| 2.761 | 78 |
| 2.687 | 39 |
| 1.926 | 19 |
| 1.829 | 29 |
| 1.738 | 13 |
| 1.459 | 18 |